[1]
The following is a calculated powder XRD pattern of Hf5In2H2. It was derived from a structure optimized by DFT (GGA-PBE), using Cu Kα (λ = 1.5418 Å).
Intensities are scaled so that the largest is 100.

Cell and atoms:
```
data_Hf5In2H2
_chemical_formula_sum 'Hf10 In4 H4'
_space_group_name_H-M_alt 'C 1 2/m 1'
_space_group_IT_number 12
_space_group_name_Hall '-C 2y'
_cell_length_a 10.621
_cell_length_b 3.993
_cell_length_c 7.494
_cell_angle_alpha 90.00
_cell_angle_beta 97.49
_cell_angle_gamma 90.00
loop_
_atom_site_label
_atom_site_type_symbol
_atom_site_fract_x
_atom_site_fract_y
_atom_site_fract_z
Hf1 Hf 0.000 0.000 0.000
Hf2 Hf 0.141 0.000 0.439
Hf3 Hf 0.217 0.500 0.152
In1 In 0.069 0.500 0.726
H1 H 0.161 0.000 0.172
```

Largest 10 diffraction maxima, in order of rising 2θ, 15° ≤ 2θ ≤ 90°:
| d (Å) | I_rel | h k l |
| --- | --- | --- |
| 2.575 | 100 | 1 1 2 |
| 2.565 | 100 | 3 1 -1 |
| 2.386 | 41 | 4 0 1 |
| 2.363 | 39 | 2 0 -3 |
| 1.997 | 24 | 0 2 0 |
| 1.531 | 21 | 4 2 1 |
| 1.525 | 20 | 2 2 -3 |
| 1.413 | 15 | 5 1 3 |
| 1.408 | 16 | 7 1 0 |
| 1.398 | 14 | 5 1 -4 |

***

[2]
The following is a calculated powder XRD pattern of Hf5In5H2. It was derived from a structure optimized by DFT (GGA-PBE), using Cu Kα (λ = 1.5418 Å).
Intensities are scaled so that the largest is 100.

Cell and atoms:
```
data_Hf5In5H2
_chemical_formula_sum 'Hf10 In10 H4'
_space_group_name_H-M_alt 'C 1 2/m 1'
_space_group_IT_number 12
_space_group_name_Hall '-C 2y'
_cell_length_a 10.415
_cell_length_b 4.034
_cell_length_c 10.697
_cell_angle_alpha 90.00
_cell_angle_beta 90.82
_cell_angle_gamma 90.00
loop_
_atom_site_label
_atom_site_type_symbol
_atom_site_fract_x
_atom_site_fract_y
_atom_site_fract_z
Hf1 Hf 0.000 0.000 0.000
Hf2 Hf 0.089 0.000 0.696
Hf3 Hf 0.115 0.500 0.200
In1 In 0.000 0.500 0.500
In2 In 0.187 0.500 0.901
In3 In 0.206 0.000 0.399
H1 H 0.054 0.000 0.182
```

Largest 10 diffraction maxima, in order of rising 2θ, 15° ≤ 2θ ≤ 90°:
| d (Å) | I_rel | h k l |
| --- | --- | --- |
| 2.594 | 100 | 1 1 -3 |
| 2.549 | 92 | 3 1 1 |
| 2.365 | 38 | 2 0 4 |
| 2.354 | 37 | 4 0 -2 |
| 2.017 | 24 | 0 2 0 |
| 1.694 | 14 | 2 0 -6 |
| 1.535 | 20 | 2 2 4 |
| 1.532 | 19 | 4 2 -2 |
| 1.413 | 15 | 1 1 7 |
| 1.408 | 14 | 5 1 -5 |

***

[3]
The following is a calculated powder XRD pattern of Hf2InHPd. It was derived from a structure optimized by DFT (GGA-PBE), using Cu Kα (λ = 1.5418 Å).
Intensities are scaled so that the largest is 100.

Cell and atoms:
```
data_Hf2InHPd
_chemical_formula_sum 'Hf2 In1 H1 Pd1'
_space_group_name_H-M_alt 'P 4/m m m'
_space_group_IT_number 123
_space_group_name_Hall '-P 4 2'
_cell_length_a 4.351
_cell_length_b 4.351
_cell_length_c 4.254
_cell_angle_alpha 90.00
_cell_angle_beta 90.00
_cell_angle_gamma 90.00
loop_
_atom_site_label
_atom_site_type_symbol
_atom_site_fract_x
_atom_site_fract_y
_atom_site_fract_z
Hf1 Hf 0.000 0.500 0.000
In1 In 0.000 0.000 0.500
H1 H 0.500 0.500 0.000
Pd1 Pd 0.500 0.500 0.500
```

Largest 10 diffraction maxima, in order of rising 2θ, 15° ≤ 2θ ≤ 90°:
| d (Å) | I_rel | h k l |
| --- | --- | --- |
| 4.254 | 5 | 0 0 1 |
| 3.077 | 4 | 1 1 0 |
| 2.493 | 100 | 1 1 1 |
| 2.176 | 34 | 2 0 0 |
| 2.127 | 16 | 0 0 2 |
| 1.538 | 11 | 2 2 0 |
| 1.521 | 22 | 2 0 2 |
| 1.309 | 26 | 3 1 1 |
| 1.288 | 12 | 1 1 3 |
| 1.247 | 11 | 2 2 2 |